No. 1
Structure and calculated powder X-ray diffraction pattern of CaEuZnSbO6 (a cell relaxed with PBE; λ = 1.5418 Å (Cu Kα)).

```
data_CaEuZnSbO6
_chemical_formula_sum 'Ca4 Eu4 Zn4 Sb4 O24'
_cell_length_a 7.993
_cell_length_b 7.993
_cell_length_c 7.993
_cell_angle_alpha 90.00
_cell_angle_beta 90.00
_cell_angle_gamma 90.00
_space_group_name_H-M_alt 'F -4 3 m'
_space_group_IT_number 216
_space_group_name_Hall 'F -4 2 3'
loop_
_atom_site_label
_atom_site_type_symbol
_atom_site_fract_x
_atom_site_fract_y
_atom_site_fract_z
Ca1 Ca 0.000 0.000 0.000
Eu1 Eu 0.000 0.000 0.500
Zn1 Zn 0.250 0.250 0.250
Sb1 Sb 0.250 0.250 0.750
O1 O 0.003 0.250 0.750
```

Largest 10 diffraction maxima, in order of falling intensity, 15° ≤ 2θ ≤ 90°:
hkl  d_spacing  two_theta  Rel. int.
2 2 0  2.826  31.66  1000
4 2 2  1.632  56.39  387
4 0 0  1.998  45.38  333
1 1 1  4.615  19.23  257
4 4 0  1.413  66.13  197
6 2 0  1.264  75.18  166
3 1 1  2.410  37.31  150
3 3 1  1.834  49.72  67
4 4 4  1.154  83.86  66
5 1 1  1.538  60.15  53


No. 2
Structure and calculated powder X-ray diffraction pattern of Ac12In5Ni2 (a cell relaxed with PBE; λ = 1.5418 Å (Cu Kα)).

```
data_Ac12In5Ni2
_chemical_formula_sum 'Ac24 In10 Ni4'
_cell_length_a 18.610
_cell_length_b 8.287
_cell_length_c 10.442
_cell_angle_alpha 90.00
_cell_angle_beta 105.89
_cell_angle_gamma 90.00
_space_group_name_H-M_alt 'C 1 2/m 1'
_space_group_IT_number 12
_space_group_name_Hall '-C 2y'
loop_
_atom_site_label
_atom_site_type_symbol
_atom_site_fract_x
_atom_site_fract_y
_atom_site_fract_z
Ac1 Ac 0.001 0.000 0.323
Ac2 Ac 0.002 0.500 0.249
Ac3 Ac 0.154 0.259 0.577
Ac4 Ac 0.155 0.236 0.080
In1 In 0.000 0.000 0.000
In2 In 0.190 0.500 0.857
In3 In 0.195 0.500 0.337
Ni1 Ni 0.000 0.333 0.500
```

Largest 10 diffraction maxima, in order of falling intensity, 15° ≤ 2θ ≤ 90°:
hkl  d_spacing  two_theta  Rel. int.
2 2 -2  3.194  27.93  1000
4 2 0  3.040  29.38  631
6 0 0  2.983  29.95  514
2 0 2  3.943  22.55  365
2 0 -4  2.610  34.36  363
4 0 -2  3.916  22.71  354
2 2 0  3.760  23.66  303
2 2 2  2.856  31.32  221
0 4 0  2.072  43.69  219
2 4 2  1.833  49.75  213


Repeat the second record exactly.
Structure and calculated powder X-ray diffraction pattern of Ac12In5Ni2 (a cell relaxed with PBE; λ = 1.5418 Å (Cu Kα)).

```
data_Ac12In5Ni2
_chemical_formula_sum 'Ac24 In10 Ni4'
_cell_length_a 18.610
_cell_length_b 8.287
_cell_length_c 10.442
_cell_angle_alpha 90.00
_cell_angle_beta 105.89
_cell_angle_gamma 90.00
_space_group_name_H-M_alt 'C 1 2/m 1'
_space_group_IT_number 12
_space_group_name_Hall '-C 2y'
loop_
_atom_site_label
_atom_site_type_symbol
_atom_site_fract_x
_atom_site_fract_y
_atom_site_fract_z
Ac1 Ac 0.001 0.000 0.323
Ac2 Ac 0.002 0.500 0.249
Ac3 Ac 0.154 0.259 0.577
Ac4 Ac 0.155 0.236 0.080
In1 In 0.000 0.000 0.000
In2 In 0.190 0.500 0.857
In3 In 0.195 0.500 0.337
Ni1 Ni 0.000 0.333 0.500
```

Largest 10 diffraction maxima, in order of falling intensity, 15° ≤ 2θ ≤ 90°:
hkl  d_spacing  two_theta  Rel. int.
2 2 -2  3.194  27.93  1000
4 2 0  3.040  29.38  631
6 0 0  2.983  29.95  514
2 0 2  3.943  22.55  365
2 0 -4  2.610  34.36  363
4 0 -2  3.916  22.71  354
2 2 0  3.760  23.66  303
2 2 2  2.856  31.32  221
0 4 0  2.072  43.69  219
2 4 2  1.833  49.75  213


Repeat the second record exactly.
Structure and calculated powder X-ray diffraction pattern of Ac12In5Ni2 (a cell relaxed with PBE; λ = 1.5418 Å (Cu Kα)).

```
data_Ac12In5Ni2
_chemical_formula_sum 'Ac24 In10 Ni4'
_cell_length_a 18.610
_cell_length_b 8.287
_cell_length_c 10.442
_cell_angle_alpha 90.00
_cell_angle_beta 105.89
_cell_angle_gamma 90.00
_space_group_name_H-M_alt 'C 1 2/m 1'
_space_group_IT_number 12
_space_group_name_Hall '-C 2y'
loop_
_atom_site_label
_atom_site_type_symbol
_atom_site_fract_x
_atom_site_fract_y
_atom_site_fract_z
Ac1 Ac 0.001 0.000 0.323
Ac2 Ac 0.002 0.500 0.249
Ac3 Ac 0.154 0.259 0.577
Ac4 Ac 0.155 0.236 0.080
In1 In 0.000 0.000 0.000
In2 In 0.190 0.500 0.857
In3 In 0.195 0.500 0.337
Ni1 Ni 0.000 0.333 0.500
```

Largest 10 diffraction maxima, in order of falling intensity, 15° ≤ 2θ ≤ 90°:
hkl  d_spacing  two_theta  Rel. int.
2 2 -2  3.194  27.93  1000
4 2 0  3.040  29.38  631
6 0 0  2.983  29.95  514
2 0 2  3.943  22.55  365
2 0 -4  2.610  34.36  363
4 0 -2  3.916  22.71  354
2 2 0  3.760  23.66  303
2 2 2  2.856  31.32  221
0 4 0  2.072  43.69  219
2 4 2  1.833  49.75  213


Please write out number 1 again, unchanged.
Structure and calculated powder X-ray diffraction pattern of CaEuZnSbO6 (a cell relaxed with PBE; λ = 1.5418 Å (Cu Kα)).

```
data_CaEuZnSbO6
_chemical_formula_sum 'Ca4 Eu4 Zn4 Sb4 O24'
_cell_length_a 7.993
_cell_length_b 7.993
_cell_length_c 7.993
_cell_angle_alpha 90.00
_cell_angle_beta 90.00
_cell_angle_gamma 90.00
_space_group_name_H-M_alt 'F -4 3 m'
_space_group_IT_number 216
_space_group_name_Hall 'F -4 2 3'
loop_
_atom_site_label
_atom_site_type_symbol
_atom_site_fract_x
_atom_site_fract_y
_atom_site_fract_z
Ca1 Ca 0.000 0.000 0.000
Eu1 Eu 0.000 0.000 0.500
Zn1 Zn 0.250 0.250 0.250
Sb1 Sb 0.250 0.250 0.750
O1 O 0.003 0.250 0.750
```

Largest 10 diffraction maxima, in order of falling intensity, 15° ≤ 2θ ≤ 90°:
hkl  d_spacing  two_theta  Rel. int.
2 2 0  2.826  31.66  1000
4 2 2  1.632  56.39  387
4 0 0  1.998  45.38  333
1 1 1  4.615  19.23  257
4 4 0  1.413  66.13  197
6 2 0  1.264  75.18  166
3 1 1  2.410  37.31  150
3 3 1  1.834  49.72  67
4 4 4  1.154  83.86  66
5 1 1  1.538  60.15  53